No. 1
Theoretical X-ray powder pattern of ScSb2Pd8 for λ = 1.5418 Å (Cu Kα), from DFT lattice parameters and positions (GGA-PBE).

Largest 10 diffraction maxima, low angle first, 10° ≤ 2θ ≤ 80°:
| 2θ (°) | d [Å] | intensity |
| --- | --- | --- |
| 22.92 | 3.881 | 60 |
| 39.24 | 2.296 | 1000 |
| 43.75 | 2.069 | 176 |
| 44.35 | 2.043 | 191 |
| 48.68 | 1.871 | 117 |
| 64.05 | 1.454 | 110 |
| 67.50 | 1.388 | 75 |
| 67.95 | 1.380 | 84 |
| 77.33 | 1.234 | 102 |
| 78.19 | 1.223 | 128 |

Atomic structure:
```
ScSb2Pd8
1.0
-2.043 3.741 6.208
2.043 -3.741 6.208
2.043 3.741 -6.208
Sc Sb Pd
1 2 8
Cartesian
0.000 0.000 0.000
0.000 0.000 4.020
0.000 0.000 8.396
2.043 -1.752 4.158
2.043 0.000 1.837
2.043 2.135 0.000
0.000 1.989 2.050
2.043 1.752 4.158
0.000 1.607 6.208
0.000 3.741 4.371
0.000 5.493 2.050
```

***

No. 2
Theoretical X-ray powder pattern of TlMoIr4 for λ = 1.5418 Å (Cu Kα), from DFT lattice parameters and positions (GGA-PBE).

Largest 10 diffraction maxima, low angle first, 10° ≤ 2θ ≤ 80°:
| 2θ (°) | d [Å] | intensity |
| --- | --- | --- |
| 20.83 | 4.265 | 168 |
| 34.34 | 2.612 | 198 |
| 40.50 | 2.227 | 1000 |
| 42.39 | 2.132 | 487 |
| 49.35 | 1.847 | 86 |
| 54.12 | 1.695 | 42 |
| 61.50 | 1.508 | 73 |
| 65.68 | 1.422 | 324 |
| 72.37 | 1.306 | 291 |
| 76.26 | 1.249 | 32 |

Atomic structure:
```
TlMoIr4
1.0
0.000 3.693 3.693
3.693 0.000 3.693
3.693 3.693 0.000
Tl Mo Ir
1 1 4
Cartesian
0.000 0.000 0.000
5.540 5.540 5.540
2.770 2.770 2.770
4.617 4.617 2.770
4.617 2.770 4.617
2.770 4.617 4.617
```

***

No. 3
Theoretical X-ray powder pattern of Tb5Nd4Sm for λ = 1.5418 Å (Cu Kα), from DFT lattice parameters and positions (GGA-PBE).

Largest 10 diffraction maxima, low angle first, 10° ≤ 2θ ≤ 80°:
| 2θ (°) | d [Å] | intensity |
| --- | --- | --- |
| 29.13 | 3.066 | 1000 |
| 29.44 | 3.034 | 142 |
| 31.80 | 2.814 | 129 |
| 33.68 | 2.661 | 143 |
| 34.00 | 2.636 | 197 |
| 35.74 | 2.512 | 415 |
| 46.96 | 1.935 | 121 |
| 51.44 | 1.776 | 125 |
| 52.03 | 1.758 | 159 |
| 60.20 | 1.537 | 175 |

Atomic structure:
```
Tb5Nd4Sm
1.0
-5.329 5.329 3.034
5.329 -5.329 3.034
5.329 5.329 -3.034
Tb Nd Sm
5 4 1
Cartesian
0.000 0.000 0.000
3.316 3.316 -1.448
2.014 -2.014 1.585
-2.014 2.014 1.585
2.014 2.014 1.585
5.329 -1.866 1.702
5.329 1.866 1.702
-1.866 5.329 1.702
1.866 5.329 1.702
0.000 0.000 3.209
```

***

No. 4
Theoretical X-ray powder pattern of LiP3H12 for λ = 1.5418 Å (Cu Kα), from DFT lattice parameters and positions (GGA-PBE).

Largest 10 diffraction maxima, low angle first, 10° ≤ 2θ ≤ 80°:
| 2θ (°) | d [Å] | intensity |
| --- | --- | --- |
| 16.71 | 5.305 | 140 |
| 23.83 | 3.735 | 196 |
| 27.91 | 3.196 | 1000 |
| 28.89 | 3.090 | 254 |
| 37.09 | 2.424 | 103 |
| 37.79 | 2.381 | 137 |
| 41.90 | 2.156 | 146 |
| 50.60 | 1.804 | 155 |
| 51.11 | 1.787 | 79 |
| 51.69 | 1.768 | 95 |

Atomic structure:
```
LiP3H12
1.0
3.735 2.156 6.180
-3.735 2.156 6.180
0.000 -4.312 6.180
Li P H
2 6 24
Cartesian
0.000 0.000 0.000
0.000 0.000 9.270
-2.687 0.295 7.600
-1.048 -1.861 10.690
1.088 -2.475 7.600
-1.088 1.838 10.690
1.599 2.179 7.600
2.136 0.023 10.690
-0.849 -3.095 7.527
-2.502 -2.232 10.772
-0.607 -1.103 4.691
-1.107 -1.946 9.262
-1.233 -0.075 7.682
-0.652 1.077 4.691
-2.256 2.282 7.527
-2.603 -0.225 12.352
-1.479 0.126 10.617
1.258 0.026 4.691
0.682 -1.030 7.682
-1.132 1.932 9.262
0.630 -1.344 10.617
0.551 1.105 7.682
-1.258 0.026 13.961
1.496 -2.142 12.352
-0.682 3.282 10.772
0.607 -1.103 13.961
0.849 1.218 10.617
2.239 0.014 9.262
3.105 0.812 7.527
0.652 1.077 13.961
3.184 -1.051 10.772
1.107 2.367 12.352
```

***

No. 5
Theoretical X-ray powder pattern of MgCoTe3 for λ = 1.5418 Å (Cu Kα), from DFT lattice parameters and positions (GGA-PBE).

Largest 10 diffraction maxima, low angle first, 10° ≤ 2θ ≤ 80°:
| 2θ (°) | d [Å] | intensity |
| --- | --- | --- |
| 17.45 | 5.083 | 678 |
| 30.46 | 2.935 | 1000 |
| 35.32 | 2.541 | 950 |
| 39.65 | 2.273 | 334 |
| 50.81 | 1.797 | 663 |
| 54.13 | 1.694 | 165 |
| 60.40 | 1.533 | 425 |
| 63.39 | 1.467 | 223 |
| 74.70 | 1.271 | 102 |
| 77.42 | 1.233 | 89 |

Atomic structure:
```
MgCoTe3
1.0
5.083 0.000 0.000
0.000 5.083 0.000
0.000 0.000 5.083
Mg Co Te
1 1 3
Cartesian
0.000 0.000 0.000
2.541 2.541 2.541
0.000 2.541 2.541
2.541 0.000 2.541
2.541 2.541 0.000
```

***

No. 6
Theoretical X-ray powder pattern of CeAl2Ni2Ge for λ = 1.5418 Å (Cu Kα), from DFT lattice parameters and positions (GGA-PBE).

Largest 10 diffraction maxima, low angle first, 10° ≤ 2θ ≤ 80°:
| 2θ (°) | d [Å] | intensity |
| --- | --- | --- |
| 20.25 | 4.385 | 861 |
| 28.79 | 3.101 | 275 |
| 31.66 | 2.826 | 479 |
| 32.95 | 2.719 | 778 |
| 37.87 | 2.376 | 1000 |
| 41.17 | 2.192 | 869 |
| 52.85 | 1.732 | 462 |
| 57.18 | 1.611 | 741 |
| 59.64 | 1.550 | 282 |
| 69.11 | 1.359 | 210 |

Atomic structure:
```
CeAl2Ni2Ge
1.0
4.385 0.000 0.000
0.000 4.385 0.000
0.000 0.000 5.653
Ce Al Ni Ge
1 2 2 1
Cartesian
0.000 0.000 0.000
2.192 2.192 1.397
2.192 2.192 4.256
0.000 2.192 2.826
2.192 0.000 2.826
0.000 0.000 2.826
```

***

No. 7
Theoretical X-ray powder pattern of Na4ZnHg4 for λ = 1.5418 Å (Cu Kα), from DFT lattice parameters and positions (GGA-PBE).

Largest 10 diffraction maxima, low angle first, 10° ≤ 2θ ≤ 80°:
| 2θ (°) | d [Å] | intensity |
| --- | --- | --- |
| 23.97 | 3.712 | 1000 |
| 27.66 | 3.225 | 470 |
| 27.93 | 3.194 | 233 |
| 39.52 | 2.280 | 244 |
| 39.72 | 2.270 | 487 |
| 46.75 | 1.943 | 342 |
| 47.10 | 1.930 | 156 |
| 49.09 | 1.856 | 179 |
| 63.12 | 1.473 | 128 |
| 71.82 | 1.314 | 138 |

Atomic structure:
```
Na4ZnHg4
1.0
-3.225 3.225 6.389
3.225 -3.225 6.389
3.225 3.225 -6.389
Na Zn Hg
4 1 4
Cartesian
1.846 -1.846 4.789
1.379 1.379 1.600
-1.846 1.846 4.789
1.846 1.846 7.989
0.000 0.000 6.389
1.715 1.715 -1.708
1.510 -1.510 8.097
1.510 1.510 4.680
-1.510 1.510 8.097
```

***

No. 8
Theoretical X-ray powder pattern of Cs2Sb2As2Pb5 for λ = 1.5418 Å (Cu Kα), from DFT lattice parameters and positions (GGA-PBE).

Largest 10 diffraction maxima, low angle first, 10° ≤ 2θ ≤ 80°:
| 2θ (°) | d [Å] | intensity |
| --- | --- | --- |
| 10.23 | 8.648 | 792 |
| 16.68 | 5.315 | 239 |
| 25.59 | 3.482 | 1000 |
| 28.54 | 3.127 | 309 |
| 31.32 | 2.856 | 564 |
| 33.31 | 2.689 | 748 |
| 39.21 | 2.297 | 387 |
| 42.61 | 2.122 | 241 |
| 47.83 | 1.902 | 301 |
| 55.04 | 1.668 | 327 |

Atomic structure:
```
Cs2Sb2As2Pb5
1.0
-2.689 2.689 17.295
2.689 -2.689 17.295
2.689 2.689 -17.295
Cs Sb As Pb
2 2 2 5
Cartesian
0.000 0.000 7.254
0.000 0.000 27.336
0.000 0.000 11.331
0.000 0.000 23.259
0.000 0.000 2.852
0.000 0.000 31.738
0.000 0.000 0.000
2.689 0.000 4.121
2.689 0.000 13.175
0.000 2.689 4.121
0.000 2.689 13.175
```

***

No. 9
Theoretical X-ray powder pattern of PuPaCuOs for λ = 1.5418 Å (Cu Kα), from DFT lattice parameters and positions (GGA-PBE).

Largest 10 diffraction maxima, low angle first, 10° ≤ 2θ ≤ 80°:
| 2θ (°) | d [Å] | intensity |
| --- | --- | --- |
| 22.48 | 3.956 | 63 |
| 26.01 | 3.426 | 99 |
| 37.11 | 2.422 | 1000 |
| 43.82 | 2.066 | 34 |
| 45.88 | 1.978 | 31 |
| 53.50 | 1.713 | 178 |
| 58.74 | 1.572 | 15 |
| 60.42 | 1.532 | 44 |
| 66.90 | 1.399 | 365 |
| 79.06 | 1.211 | 115 |

Atomic structure:
```
PuPaCuOs
1.0
0.000 3.426 3.426
3.426 0.000 3.426
3.426 3.426 0.000
Pu Pa Cu Os
1 1 1 1
Cartesian
0.000 0.000 0.000
3.426 3.426 3.426
5.139 5.139 5.139
1.713 1.713 1.713
```

***

No. 10
Theoretical X-ray powder pattern of Th3AlGa4 for λ = 1.5418 Å (Cu Kα), from DFT lattice parameters and positions (GGA-PBE).

Largest 10 diffraction maxima, low angle first, 10° ≤ 2θ ≤ 80°:
| 2θ (°) | d [Å] | intensity |
| --- | --- | --- |
| 23.20 | 3.834 | 723 |
| 27.28 | 3.269 | 1000 |
| 34.69 | 2.586 | 209 |
| 35.66 | 2.518 | 480 |
| 36.55 | 2.458 | 492 |
| 39.84 | 2.263 | 476 |
| 46.62 | 1.948 | 239 |
| 47.83 | 1.902 | 217 |
| 56.24 | 1.636 | 269 |
| 72.05 | 1.311 | 279 |

Atomic structure:
```
Th3AlGa4
1.0
-2.262 3.098 7.321
2.262 -3.098 7.321
2.262 3.098 -7.321
Th Al Ga
3 1 4
Cartesian
0.000 0.000 0.000
2.262 0.000 4.597
0.000 3.098 2.724
0.000 0.000 7.321
2.262 1.273 -1.826
2.262 1.273 1.826
0.000 1.825 5.495
0.000 1.825 9.146
```

***

No. 11
Theoretical X-ray powder pattern of LiTh2P3Pt12 for λ = 1.5418 Å (Cu Kα), from DFT lattice parameters and positions (GGA-PBE).

Largest 10 diffraction maxima, low angle first, 10° ≤ 2θ ≤ 80°:
| 2θ (°) | d [Å] | intensity |
| --- | --- | --- |
| 25.63 | 3.475 | 63 |
| 26.39 | 3.377 | 53 |
| 32.19 | 2.781 | 1000 |
| 33.85 | 2.648 | 67 |
| 44.29 | 2.045 | 477 |
| 47.99 | 1.896 | 346 |
| 55.80 | 1.648 | 197 |
| 67.35 | 1.390 | 119 |
| 73.86 | 1.283 | 161 |
| 79.35 | 1.208 | 109 |

Atomic structure:
```
LiTh2P3Pt12
1.0
4.090 2.362 5.985
-4.090 2.362 5.985
0.000 -4.723 5.985
Li Th P Pt
1 2 3 12
Cartesian
0.000 0.000 0.000
0.000 0.000 6.843
0.000 0.000 11.111
-4.090 0.000 8.977
-2.045 1.181 2.992
2.045 1.181 2.992
-2.227 -1.286 8.424
0.000 -2.387 5.296
-2.067 1.194 5.296
0.000 -2.571 9.530
-2.227 1.286 9.530
-2.067 -1.194 12.658
2.067 1.194 5.296
2.227 -1.286 8.424
0.000 2.571 8.424
2.067 -1.194 12.658
0.000 2.387 12.658
2.227 1.286 9.530
```

***

No. 12
Theoretical X-ray powder pattern of SbCl3F2 for λ = 1.5418 Å (Cu Kα), from DFT lattice parameters and positions (GGA-PBE).

Largest 10 diffraction maxima, low angle first, 10° ≤ 2θ ≤ 80°:
| 2θ (°) | d [Å] | intensity |
| --- | --- | --- |
| 13.73 | 6.449 | 1000 |
| 18.29 | 4.850 | 435 |
| 18.89 | 4.698 | 341 |
| 20.48 | 4.338 | 272 |
| 24.36 | 3.653 | 252 |
| 26.41 | 3.374 | 380 |
| 29.12 | 3.067 | 211 |
| 38.28 | 2.351 | 187 |
| 44.15 | 2.051 | 178 |
| 46.12 | 1.968 | 182 |

Atomic structure:
```
SbCl3F2
1.0
-6.858 6.858 3.653
6.858 -6.858 3.653
6.858 6.858 -3.653
Sb Cl F
4 12 8
Cartesian
2.913 0.611 0.000
6.247 -3.946 3.653
0.611 10.804 0.000
3.946 6.247 3.653
8.982 0.805 -0.256
7.419 4.086 -1.334
3.982 2.656 -0.230
4.202 -2.876 3.423
4.086 6.297 -1.334
0.805 4.735 -0.256
2.772 0.561 2.319
-0.561 2.772 2.319
6.053 2.124 3.397
2.656 9.734 -0.230
2.876 4.202 3.423
-2.124 6.053 3.397
12.109 1.049 0.117
1.049 1.607 0.117
7.368 4.433 1.815
4.433 6.348 1.815
2.426 0.510 5.468
5.809 5.251 3.770
-0.510 2.426 5.468
-5.251 5.809 3.770
```